Starting from a cell relaxed with GGA-PBE, the PXRD pattern of BaTi2TeIr was simulated for Cu Kα.

Largest 6 diffraction maxima, sorted by position, 10 to 90 degrees two-theta:
| Position (°2θ) | I_rel |
| --- | --- |
| 17.42 | 72 |
| 24.73 | 100 |
| 30.45 | 70 |
| 35.25 | 90 |
| 35.42 | 44 |
| 50.83 | 62 |

```
5
Lattice="5.093 0.000 0.000 0.000 5.093 0.000 0.000 0.000 5.069" Properties=species:S:1:pos:R:3 pbc="T T T"
Ba 0.000 0.000 0.000
Ti 0.000 2.546 0.000
Ti 2.546 0.000 0.000
Te 2.546 2.546 2.534
Ir 0.000 0.000 2.534
```

=====

Starting from a cell relaxed with GGA-PBE, the PXRD pattern of BaTi2Ir was simulated for Cu Kα.

Largest 6 diffraction maxima, sorted by position, 10 to 90 degrees two-theta:
| Position (°2θ) | I_rel |
| --- | --- |
| 26.36 | 37 |
| 37.63 | 100 |
| 46.53 | 11 |
| 54.27 | 17 |
| 61.32 | 15 |
| 67.92 | 34 |

```
4
Lattice="0.000 3.381 3.381 3.381 0.000 3.381 3.381 3.381 0.000" Properties=species:S:1:pos:R:3 pbc="T T T"
Ba 0.000 0.000 0.000
Ti 1.690 1.690 1.690
Ti 5.071 5.071 5.071
Ir 3.381 3.381 3.381
```

=====

Starting from a cell relaxed with GGA-PBE, the PXRD pattern of BaTl2Ir2 was simulated for Cu Kα.

Largest 6 diffraction maxima, sorted by position, 10 to 90 degrees two-theta:
| Position (°2θ) | I_rel |
| --- | --- |
| 30.41 | 26 |
| 31.05 | 100 |
| 37.93 | 65 |
| 41.95 | 45 |
| 44.62 | 25 |
| 64.27 | 26 |

```
5
Lattice="-2.372 2.372 5.618 2.372 -2.372 5.618 2.372 2.372 -5.618" Properties=species:S:1:pos:R:3 pbc="T T T"
Ba 0.000 0.000 0.000
Tl 2.372 0.000 2.809
Tl 0.000 2.372 2.809
Ir 0.000 0.000 4.403
Ir 0.000 0.000 6.834
```

=====

Starting from a cell relaxed with GGA-PBE, the PXRD pattern of BaTlIr4 was simulated for Cu Kα.

Largest 6 diffraction maxima, sorted by position, 10 to 90 degrees two-theta:
| Position (°2θ) | I_rel |
| --- | --- |
| 32.54 | 23 |
| 38.36 | 100 |
| 40.13 | 45 |
| 61.95 | 33 |
| 68.15 | 30 |
| 82.15 | 18 |

```
6
Lattice="0.000 3.892 3.892 3.892 0.000 3.892 3.892 3.892 0.000" Properties=species:S:1:pos:R:3 pbc="T T T"
Ba 0.000 0.000 0.000
Tl 1.946 1.946 1.946
Ir 4.860 2.923 2.923
Ir 2.923 4.860 2.923
Ir 2.923 2.923 4.860
Ir 4.860 4.860 4.860
```

=====

Starting from a cell relaxed with GGA-PBE, the PXRD pattern of BaY3Ir was simulated for Cu Kα.

Largest 6 diffraction maxima, sorted by position, 10 to 90 degrees two-theta:
| Position (°2θ) | I_rel |
| --- | --- |
| 13.60 | 96 |
| 27.40 | 100 |
| 30.12 | 59 |
| 34.88 | 44 |
| 36.51 | 73 |
| 46.68 | 33 |

```
5
Lattice="3.758 0.000 0.000 0.000 3.895 5.935 0.000 -3.895 5.935" Properties=species:S:1:pos:R:3 pbc="T T T"
Ba 0.000 0.000 0.000
Y 0.000 -1.880 8.814
Y 0.000 1.880 8.814
Y 1.879 0.000 5.572
Ir 1.879 0.000 2.773
```

=====

Starting from a cell relaxed with GGA-PBE, the PXRD pattern of BaY3Ir was simulated for Cu Kα.

Largest 6 diffraction maxima, sorted by position, 10 to 90 degrees two-theta:
| Position (°2θ) | I_rel |
| --- | --- |
| 19.74 | 48 |
| 30.57 | 91 |
| 30.80 | 77 |
| 30.96 | 89 |
| 33.81 | 100 |
| 38.22 | 63 |

```
10
Lattice="9.266 0.000 0.000 0.000 3.804 0.000 -2.287 0.000 9.220" Properties=species:S:1:pos:R:3 pbc="T T T"
Ba 1.774 0.951 0.261
Ba 5.205 2.853 8.960
Y -1.291 2.853 6.035
Y 2.217 2.853 3.765
Y 1.990 2.853 7.212
Y 4.989 0.951 2.009
Y 4.762 0.951 5.455
Y 8.270 0.951 3.185
Ir 0.830 0.951 5.411
Ir 6.149 2.853 3.809
```

=====

Starting from a cell relaxed with GGA-PBE, the PXRD pattern of BaY3Ir was simulated for Cu Kα.

Largest 6 diffraction maxima, sorted by position, 10 to 90 degrees two-theta:
| Position (°2θ) | I_rel |
| --- | --- |
| 14.37 | 59 |
| 15.43 | 85 |
| 28.76 | 94 |
| 28.97 | 96 |
| 31.75 | 68 |
| 32.17 | 100 |

```
20
Lattice="9.542 0.000 0.000 0.000 6.946 0.000 -7.032 0.000 10.197" Properties=species:S:1:pos:R:3 pbc="T T T"
Ba 1.254 1.182 0.781
Ba -2.262 2.292 5.880
Ba 4.773 4.655 4.318
Ba 1.257 5.765 9.416
Y -5.047 4.032 8.468
Y -1.531 6.388 3.369
Y 1.512 4.628 2.106
Y -2.004 5.792 7.205
Y -2.201 1.667 9.636
Y 1.315 1.806 4.537
Y 1.196 5.140 5.660
Y 4.712 5.280 0.561
Y 4.514 1.155 2.992
Y 0.998 2.318 8.091
Y 4.042 0.559 6.828
Y 7.558 2.915 1.730
Ir -0.441 3.882 3.845
Ir -3.957 6.537 8.944
Ir 6.467 0.409 1.253
Ir 2.951 3.064 6.352
```

=====

Starting from a cell relaxed with GGA-PBE, the PXRD pattern of BaZnIr was simulated for Cu Kα.

Largest 6 diffraction maxima, sorted by position, 10 to 90 degrees two-theta:
| Position (°2θ) | I_rel |
| --- | --- |
| 10.63 | 100 |
| 28.84 | 13 |
| 29.29 | 22 |
| 34.85 | 53 |
| 38.86 | 31 |
| 40.41 | 17 |

```
6
Lattice="4.634 0.000 0.000 -0.007 4.635 0.000 -0.009 -0.015 8.319" Properties=species:S:1:pos:R:3 pbc="T T T"
Ba 1.154 1.152 1.833
Ba 3.464 3.467 6.486
Zn 1.148 1.151 5.207
Zn 3.471 3.469 3.112
Ir 1.152 3.468 4.160
Ir 3.466 1.151 4.160
```